[1]
For PmHoCrN4, the GGA-PBE geometry in Alexandria gives the computed powder diffractogram in this record (Cu Kα).
No peak broadening, texture or thermal motion is included.

Most intense lines, 5° ≤ 2θ ≤ 70°, by angle:
hkl 1 1 0, 2θ 23.39, intensity 100
hkl 1 0 1, 2θ 24.95, intensity 17
hkl 0 0 2, 2θ 27.79, intensity 19
hkl 1 1 -2, 2θ 32.24, intensity 81
hkl 0 2 0, 2θ 32.63, intensity 53
hkl 2 0 0, 2θ 33.98, intensity 29
hkl 2 1 -2, 2θ 40.39, intensity 33
hkl 1 1 2, 2θ 40.63, intensity 39
hkl 0 2 2, 2θ 43.35, intensity 34
hkl 2 2 0, 2θ 47.82, intensity 30

Atomic structure:
```
data_PmHoCrN4
_symmetry_space_group_name_H-M 'P 1 21/m 1'
_symmetry_Int_Tables_number 11
_cell_length_a 5.552
_cell_length_b 5.488
_cell_length_c 6.756
_cell_angle_alpha 90.00
_cell_angle_beta 108.10
_cell_angle_gamma 90.00
loop_
_symmetry_equiv_pos_as_xyz
'x,y,z'
'-x,-y,-z'
'-x,y+1/2,-z'
'x,-y+1/2,z'
loop_
_atom_site_label
_atom_site_type_symbol
_atom_site_fract_x
_atom_site_fract_y
_atom_site_fract_z
_atom_site_occupancy
Pm1 Pm 0.226 0.250 0.434 1
Ho1 Ho 0.298 0.250 0.962 1
Cr1 Cr 0.256 0.750 0.192 1
N1 N 0.056 0.750 0.346 1
N2 N 0.080 0.750 0.935 1
N3 N 0.468 0.505 0.247 1
```

---

[2]
For Bi2PtN2, the GGA-PBE geometry in Alexandria gives the computed powder diffractogram in this record (Cu Kα).
No peak broadening, texture or thermal motion is included.

Most intense lines, 5° ≤ 2θ ≤ 70°, by angle:
hkl 0 0 1, 2θ 8.58, intensity 100
hkl 0 1 2, 2θ 27.48, intensity 8
hkl 1 1 -1, 2θ 27.82, intensity 9
hkl 1 0 2, 2θ 28.91, intensity 8
hkl 1 1 -2, 2θ 32.84, intensity 8
hkl 0 1 3, 2θ 32.99, intensity 8
hkl 1 0 3, 2θ 34.66, intensity 7
hkl -1 1 1, 2θ 41.59, intensity 7
hkl 1 2 1, 2θ 42.33, intensity 7
hkl 2 1 0, 2θ 43.64, intensity 6

Atomic structure:
```
data_Bi2PtN2
_symmetry_space_group_name_H-M 'P -1'
_symmetry_Int_Tables_number 2
_cell_length_a 4.181
_cell_length_b 4.281
_cell_length_c 10.464
_cell_angle_alpha 80.58
_cell_angle_beta 83.18
_cell_angle_gamma 62.81
loop_
_symmetry_equiv_pos_as_xyz
'x,y,z'
'-x,-y,-z'
loop_
_atom_site_label
_atom_site_type_symbol
_atom_site_fract_x
_atom_site_fract_y
_atom_site_fract_z
_atom_site_occupancy
Bi1 Bi 0.143 0.106 0.124 1
Pt1 Pt 0.500 0.500 0.000 1
N1 N 0.093 0.444 0.541 1
```

---

[3]
For Ca2HoMg2In5, the GGA-PBE geometry in Alexandria gives the computed powder diffractogram in this record (Cu Kα).
No peak broadening, texture or thermal motion is included.

Most intense lines, 5° ≤ 2θ ≤ 70°, by angle:
hkl 1 1 0, 2θ 11.60, intensity 17
hkl 2 0 0, 2θ 16.43, intensity 19
hkl 2 2 1, 2θ 30.65, intensity 26
hkl 3 1 1, 2θ 32.87, intensity 100
hkl 4 1 0, 2θ 34.26, intensity 28
hkl 3 2 1, 2θ 35.98, intensity 27
hkl 4 2 0, 2θ 37.27, intensity 23
hkl 0 0 2, 2θ 39.82, intensity 38
hkl 4 1 2, 2θ 53.53, intensity 17
hkl 7 1 1, 2θ 64.44, intensity 22

Atomic structure:
```
data_Ca2HoMg2In5
_symmetry_space_group_name_H-M 'P 4/m b m'
_symmetry_Int_Tables_number 127
_symmetry_space_group_name_Hall '-P 4 2ab'
_cell_length_a 10.790
_cell_length_b 10.790
_cell_length_c 4.526
_cell_angle_alpha 90.00
_cell_angle_beta 90.00
_cell_angle_gamma 90.00
loop_
_atom_site_label
_atom_site_type_symbol
_atom_site_fract_x
_atom_site_fract_y
_atom_site_fract_z
_atom_site_occupancy
Ca1 Ca 0.173 0.327 0.000 1
Ho1 Ho 0.000 0.000 0.000 1
Mg1 Mg 0.123 0.623 0.000 1
In1 In 0.000 0.500 0.500 1
In2 In 0.070 0.796 0.500 1
```